This entry pairs a crystal structure of SrCa7Fe2Co6O24 with its computed powder diffraction line list. Radiation: copper Kα. Structure: a crystal structure in the Materials Project, relaxed with PBE+U.
Kinematic intensities with the Lorentz-polarization factor, no thermal factor.

The 12 most intense peaks (10° ≤ 2θ ≤ 90°), most intense first:
2θ (°)	I/Imax
33.25	100
47.87	38
59.53	28
69.78	20
33.37	20
47.56	19
59.33	14
23.41	11
79.76	9
79.28	6
41.06	6
23.26	6

Crystal structure
abc: 7.647 7.600 7.600
angles: 90.10 90.00 90.00
Element x y z (fractional)
Sr (0.000, 0.000, 0.000)
Ca (0.000, 0.003, 0.493)
Ca (0.000, 0.493, 0.003)
Ca (0.000, 0.493, 0.493)
Ca (0.500, 0.003, 0.003)
Ca (0.500, 0.003, 0.493)
Ca (0.500, 0.493, 0.003)
Ca (0.500, 0.493, 0.493)
Fe (0.251, 0.249, 0.249)
Fe (0.749, 0.249, 0.249)
Co (0.251, 0.249, 0.747)
Co (0.251, 0.747, 0.249)
Co (0.251, 0.747, 0.747)
Co (0.749, 0.249, 0.747)
Co (0.749, 0.747, 0.249)
Co (0.749, 0.747, 0.747)
O (0.000, 0.251, 0.251)
O (0.000, 0.252, 0.743)
O (0.000, 0.743, 0.252)
O (0.000, 0.745, 0.745)
O (0.251, 0.249, 0.499)
O (0.251, 0.491, 0.747)
O (0.251, 0.499, 0.249)
O (0.251, 0.747, 0.491)
O (0.253, 0.005, 0.745)
O (0.253, 0.745, 0.005)
O (0.254, 0.251, 0.997)
O (0.254, 0.997, 0.251)
O (0.500, 0.249, 0.249)
O (0.500, 0.249, 0.747)
O (0.500, 0.747, 0.249)
O (0.500, 0.747, 0.747)
O (0.746, 0.251, 0.997)
O (0.746, 0.997, 0.251)
O (0.747, 0.005, 0.745)
O (0.747, 0.745, 0.005)
O (0.749, 0.249, 0.499)
O (0.749, 0.491, 0.747)
O (0.749, 0.499, 0.249)
O (0.749, 0.747, 0.491)


This entry pairs a crystal structure of Sr2Ca2Fe3CoO12 with its computed powder diffraction line list. Radiation: copper Kα. Structure: a crystal structure in the Materials Project, relaxed with PBE+U.
Kinematic intensities with the Lorentz-polarization factor, no thermal factor.

The 12 most intense peaks (10° ≤ 2θ ≤ 90°), most intense first:
2θ (°)	I/Imax
32.77	100
58.44	22
32.89	20
46.90	17
47.02	17
47.25	17
58.59	15
68.77	14
40.45	11
68.59	10
58.72	7
78.02	6

Crystal structure
abc: 7.695 7.750 7.730
angles: 90.00 90.14 90.00
Element x y z (fractional)
Sr (0.000, 0.000, 0.000)
Sr (0.000, 0.500, 0.000)
Sr (0.505, 0.000, 0.000)
Sr (0.505, 0.500, 0.497)
Ca (0.000, 0.000, 0.497)
Ca (0.000, 0.500, 0.497)
Ca (0.505, 0.500, 0.000)
Ca (0.506, 0.000, 0.497)
Fe (0.253, 0.250, 0.250)
Fe (0.253, 0.250, 0.747)
Fe (0.253, 0.750, 0.250)
Fe (0.253, 0.750, 0.747)
Fe (0.753, 0.250, 0.747)
Fe (0.753, 0.750, 0.747)
Co (0.752, 0.250, 0.249)
Co (0.752, 0.750, 0.249)
O (0.002, 0.250, 0.743)
O (0.002, 0.750, 0.743)
O (0.251, 0.248, 0.497)
O (0.251, 0.752, 0.497)
O (0.253, 0.000, 0.253)
O (0.253, 0.000, 0.743)
O (0.253, 0.500, 0.250)
O (0.253, 0.500, 0.747)
O (0.255, 0.252, 0.000)
O (0.255, 0.748, 0.000)
O (0.503, 0.250, 0.747)
O (0.503, 0.750, 0.747)
O (0.511, 0.250, 0.250)
O (0.511, 0.750, 0.250)
O (0.752, 0.252, 0.003)
O (0.752, 0.748, 0.003)
O (0.753, 0.000, 0.743)
O (0.753, 0.500, 0.249)
O (0.753, 0.500, 0.747)
O (0.754, 0.000, 0.255)
O (0.754, 0.248, 0.494)
O (0.754, 0.752, 0.494)
O (0.994, 0.250, 0.252)
O (0.994, 0.750, 0.252)